No. 1
This entry pairs a crystal structure of Na3VMo3O21 with its simulated powder XRD pattern. Radiation: Cu Kα X-rays. Structure: a crystal structure in the Materials Project, relaxed with GGA+U.

Largest 10 diffraction maxima, by angle, 5 to 70 degrees two-theta:
index, 2θ/deg, Rel. int.
0 0 1, 9.03, 98
0 1 0, 9.25, 49
0 1 1, 9.47, 36
1 0 0, 9.83, 100
1 1 0, 12.09, 45
1 0 -1, 12.87, 95
0 0 2, 18.11, 38
-1 1 2, 19.18, 35
0 3 2, 25.31, 32
0 2 -2, 31.61, 41

Structure:
```
data_Na3VMo3O21
_cell_length_a 9.185
_cell_length_b 10.983
_cell_length_c 11.057
_cell_angle_alpha 62.68
_cell_angle_beta 88.67
_cell_angle_gamma 79.25
_symmetry_space_group_name_H-M 'P -1'
_symmetry_Int_Tables_number 2
loop_
_symmetry_equiv_pos_as_xyz
'x,y,z'
'-x,-y,-z'
loop_
_atom_site_label
_atom_site_type_symbol
_atom_site_fract_x
_atom_site_fract_y
_atom_site_fract_z
Na1 Na 0.100 0.365 0.445
Na2 Na 0.101 0.338 0.869
Na3 Na 0.395 0.940 0.812
V1 V 0.326 0.462 0.582
Mo1 Mo 0.314 0.672 0.187
Mo2 Mo 0.338 0.847 0.372
Mo3 Mo 0.456 0.324 0.326
O1 O 0.044 0.291 0.111
O2 O 0.045 0.396 0.127
O3 O 0.063 0.104 0.718
O4 O 0.084 0.990 0.832
O5 O 0.114 0.772 0.743
O6 O 0.116 0.671 0.723
O7 O 0.142 0.453 0.632
O8 O 0.146 0.641 0.144
O9 O 0.185 0.139 0.655
O10 O 0.196 0.919 0.439
O11 O 0.231 0.762 0.294
O12 O 0.279 0.302 0.299
O13 O 0.286 0.247 0.769
O14 O 0.320 0.470 0.422
O15 O 0.355 0.809 0.039
O16 O 0.360 0.619 0.567
O17 O 0.380 0.988 0.225
O18 O 0.427 0.760 0.750
O19 O 0.452 0.516 0.191
O20 O 0.484 0.329 0.683
O21 O 0.487 0.186 0.515
```

No. 2
This entry pairs a crystal structure of Ba2Mg3Tl2W4O12 with its simulated powder XRD pattern. Radiation: Cu Kα X-rays. Structure: a crystal structure in the Materials Project, relaxed with GGA+U.

Largest 10 diffraction maxima, by angle, 5 to 70 degrees two-theta:
index, 2θ/deg, Rel. int.
0 0 6, 12.04, 23
1 0 1, 22.42, 63
1 0 7, 26.48, 62
1 0 9, 28.89, 49
1 0 11, 31.67, 46
1 1 0, 31.78, 100
2 0 0, 45.57, 52
1 1 16, 46.08, 22
1 1 18, 49.30, 28
2 0 16, 57.08, 23

Structure:
```
data_Ba2Mg3Tl2W4O12
_cell_length_a 3.982
_cell_length_b 3.982
_cell_length_c 44.106
_cell_angle_alpha 90.00
_cell_angle_beta 90.00
_cell_angle_gamma 90.00
_symmetry_space_group_name_H-M 'I 4/m m m'
_symmetry_Int_Tables_number 139
_symmetry_space_group_name_Hall '-I 4 2'
loop_
_atom_site_label
_atom_site_type_symbol
_atom_site_fract_x
_atom_site_fract_y
_atom_site_fract_z
Ba1 Ba 0.000 0.000 0.165
Mg1 Mg 0.000 0.000 0.000
Mg2 Mg 0.000 0.000 0.081
Tl1 Tl 0.000 0.000 0.275
W1 W 0.000 0.000 0.397
W2 W 0.000 0.000 0.456
O1 O 0.000 0.000 0.221
O2 O 0.000 0.000 0.351
O3 O 0.000 0.500 0.032
O4 O 0.000 0.500 0.107
```